For Hf2MnF11, DFT lattice parameters and positions (GGA+U) gives the simulated XRD peak list in this record (Cu Kα X-rays).
No peak broadening, texture or thermal motion is included.

Main lines, low angle first (2θ = 10–90°):
2θ = 17.24°, intensity 645
2θ = 18.08°, intensity 258
2θ = 22.58°, intensity 420
2θ = 23.07°, intensity 297
2θ = 25.08°, intensity 590
2θ = 25.98°, intensity 1000
2θ = 29.59°, intensity 204
2θ = 35.99°, intensity 214
2θ = 46.38°, intensity 258
2θ = 51.16°, intensity 195

```
data_Hf2MnF11
_chemical_formula_sum 'Hf8 Mn4 F44'
_cell_length_a 7.8325
_cell_length_b 9.8140
_cell_length_c 10.2876
_cell_angle_alpha 90.00
_cell_angle_beta 90.00
_cell_angle_gamma 90.00
_space_group_name_H-M_alt 'I b a m'
_space_group_IT_number 72
_space_group_name_Hall '-I 2 2c'
loop_
_atom_site_label
_atom_site_fract_x
_atom_site_fract_y
_atom_site_fract_z
_atom_site_occupancy
Hf1 0.1071 0.1918 0.0000 1
Mn1 0.0000 0.5000 0.2500 1
F1 0.0000 0.0000 0.0000 1
F2 0.0585 0.3668 0.1271 1
F3 0.1558 0.2110 0.5000 1
F4 0.2084 0.1133 0.1552 1
```